1.
Diffraction record for ZrAgBi2Au. The PXRD pattern is theoretical, not measured: it uses a PBE-relaxed structure and Cu Kα (weighted mean of Kα1 and Kα2).

The 8 most intense peaks (2θ from 10° to 90°), low angle first:
two_theta, d [Å], I (rel.)
28.0, 3.192, 100
31.9, 2.804, 60
33.3, 2.689, 27
45.8, 1.983, 22
46.8, 1.941, 42
54.5, 1.684, 32
57.8, 1.596, 23
85.4, 1.137, 16

Cell: 5.609 5.609 5.378 Å, 90.00 90.00 90.00°
Space group P4/mmm (No. 123)
Asymmetric unit:
Zr: 0.000 0.000 0.000 x1
Ag: 0.000 0.000 0.500 x1
Bi: 0.000 0.500 0.000 x2
Au: 0.500 0.500 0.500 x1

---

2.
Diffraction record for Rb2Nb3F10. The PXRD pattern is theoretical, not measured: it uses a PBE-relaxed structure and Cu Kα (weighted mean of Kα1 and Kα2).

The 8 most intense peaks (2θ from 10° to 90°), low angle first:
two_theta, d [Å], I (rel.)
10.6, 8.320, 54
13.4, 6.617, 32
14.6, 6.068, 31
20.1, 4.420, 75
22.6, 3.940, 92
23.3, 3.812, 100
31.8, 2.816, 49
32.3, 2.774, 31

Cell: 6.892 8.814 9.438 Å, 100.61 91.48 105.61°
Space group P1 (No. 1)
Asymmetric unit:
Rb: 0.000 0.000 0.000 x1
Rb: 0.013 0.037 0.560 x1
Rb: 0.734 0.401 0.455 x1
Rb: 0.793 0.370 0.864 x1
Nb: 0.130 0.676 0.254 x1
Nb: 0.305 0.440 0.185 x1
Nb: 0.305 0.568 0.626 x1
Nb: 0.448 0.829 0.801 x1
Nb: 0.463 0.995 0.239 x1
Nb: 0.567 0.708 0.181 x1
F: 0.011 0.430 0.250 x1
F: 0.048 0.376 0.621 x1
F: 0.147 0.340 0.993 x1
F: 0.156 0.923 0.279 x1
F: 0.166 0.677 0.478 x1
F: 0.169 0.647 0.808 x1
F: 0.265 0.950 0.740 x1
F: 0.349 0.187 0.189 x1
F: 0.367 0.928 0.013 x1
F: 0.369 0.456 0.408 x1
F: 0.478 0.100 0.449 x1
F: 0.486 0.446 0.689 x1
F: 0.557 0.463 0.066 x1
F: 0.579 0.746 0.612 x1
F: 0.586 0.730 0.956 x1
F: 0.671 0.910 0.347 x1
F: 0.709 0.012 0.802 x1
F: 0.722 0.125 0.188 x1
F: 0.795 0.662 0.313 x1
F: 0.984 0.663 0.067 x1

---

3.
Diffraction record for K5NaTl6. The PXRD pattern is theoretical, not measured: it uses a PBE-relaxed structure and Cu Kα (weighted mean of Kα1 and Kα2).

The 8 most intense peaks (2θ from 10° to 90°), low angle first:
two_theta, d [Å], I (rel.)
10.5, 8.395, 50
16.2, 5.475, 73
19.4, 4.586, 30
28.4, 3.140, 100
31.6, 2.830, 43
32.7, 2.738, 29
35.7, 2.514, 63
46.1, 1.968, 28

Cell: 5.259 16.790 10.951 Å, 90.00 90.09 90.00°
Space group C2/m (No. 12)
Asymmetric unit:
K: 0.000 0.000 0.000 x2
K: 0.000 0.332 0.000 x4
K: 0.000 0.334 0.500 x4
Na: 0.000 0.000 0.500 x2
Tl: 0.000 0.114 0.265 x8
Tl: 0.000 0.500 0.255 x4

---

4.
Diffraction record for Si3Hg4. The PXRD pattern is theoretical, not measured: it uses a PBE-relaxed structure and Cu Kα (weighted mean of Kα1 and Kα2).

The 8 most intense peaks (2θ from 10° to 90°), low angle first:
two_theta, d [Å], I (rel.)
28.2, 3.160, 100
32.7, 2.737, 80
46.9, 1.935, 59
55.7, 1.650, 48
58.4, 1.580, 21
75.7, 1.256, 20
78.1, 1.224, 28
87.2, 1.117, 22

Cell: 5.474 5.474 5.474 Å, 90.00 90.00 90.00°
Space group Pm-3m (No. 221)
Asymmetric unit:
Si: 0.000 0.000 0.500 x3
Hg: 0.000 0.000 0.000 x1
Hg: 0.000 0.500 0.500 x3

---

5.
Diffraction record for Ca3I3N. The PXRD pattern is theoretical, not measured: it uses a PBE-relaxed structure and Cu Kα (weighted mean of Kα1 and Kα2).

The 8 most intense peaks (2θ from 10° to 90°), low angle first:
two_theta, d [Å], I (rel.)
24.9, 3.583, 27
26.3, 3.391, 100
26.6, 3.357, 42
30.3, 2.947, 55
31.8, 2.813, 29
34.1, 2.628, 25
34.5, 2.599, 21
35.1, 2.554, 35

Cell: 8.693 13.590 7.961 Å, 90.00 104.07 90.00°
Space group C2/m (No. 12)
Asymmetric unit:
Ca: 0.092 0.000 0.350 x4
Ca: 0.211 0.370 0.237 x8
I: 0.000 0.187 0.000 x4
I: 0.000 0.267 0.500 x4
I: 0.126 0.500 0.846 x4
N: 0.167 0.000 0.643 x4

---

6.
Diffraction record for In2AuN2. The PXRD pattern is theoretical, not measured: it uses a PBE-relaxed structure and Cu Kα (weighted mean of Kα1 and Kα2).

The 8 most intense peaks (2θ from 10° to 90°), low angle first:
two_theta, d [Å], I (rel.)
21.3, 4.175, 73
32.6, 2.748, 19
32.7, 2.737, 100
34.8, 2.581, 25
39.5, 2.283, 38
45.3, 2.003, 21
53.6, 1.710, 28
67.3, 1.390, 28

Cell: 4.565 4.565 10.323 Å, 90.00 90.00 90.00°
Space group I4/mmm (No. 139)
Asymmetric unit:
In: 0.000 0.500 0.250 x4
Au: 0.000 0.000 0.000 x2
N: 0.000 0.000 0.203 x4